No. 1
The following is a theoretical PXRD pattern of Ba2InGaSn6. It was derived from DFT lattice parameters and positions (GGA-PBE), using Cu Kα.
Intensities are scaled so that the largest is 100.

Structure:
Cell lengths 6.5918, 8.9662, 11.2233 Å; angles 90.00, 90.00, 90.00 degrees
Space group Pmmn (No. 59, origin choice 2)
Symmetry-distinct sites (fractional):
Ba 0.2500 0.0036 0.2292 (multiplicity 4)
In 0.2500 0.7500 0.7781 (multiplicity 2)
Ga 0.2500 0.2500 0.8095 (multiplicity 2)
Sn 0.0091 0.7500 0.5089 (multiplicity 4)
Sn 0.0160 0.7500 0.0024 (multiplicity 4)
Sn 0.2500 0.0312 0.6342 (multiplicity 4)

Largest 6 diffraction maxima, in order of rising 2θ, 5 to 70 degrees two-theta:
| 2θ/deg | I_rel | (hkl) |
| --- | --- | --- |
| 25.4 | 72 | 0 2 2 |
| 31.5 | 100 | 2 0 2 |
| 33.8 | 59 | 2 2 0 |
| 34.0 | 48 | 1 2 3 |
| 40.2 | 43 | 0 4 0 |
| 52.0 | 48 | 2 4 2 |

---

No. 2
The following is a theoretical PXRD pattern of Sr3Zn8Pt3. It was derived from DFT lattice parameters and positions (GGA-PBE), using Cu Kα.
Intensities are scaled so that the largest is 100.

Structure:
Cell lengths 4.3766, 9.9562, 13.0726 Å; angles 90.00, 90.00, 90.00 degrees
Space group Immm (No. 71)
Symmetry-distinct sites (fractional):
Sr 0.0000 0.0000 0.0000 (multiplicity 2)
Sr 0.0000 0.0000 0.3291 (multiplicity 4)
Zn 0.0000 0.2803 0.1157 (multiplicity 8)
Zn 0.0000 0.3517 0.3203 (multiplicity 8)
Pt 0.0000 0.2358 0.5000 (multiplicity 4)
Pt 0.0000 0.5000 0.0000 (multiplicity 2)

Largest 6 diffraction maxima, in order of rising 2θ, 5 to 70 degrees two-theta:
| 2θ/deg | I_rel | (hkl) |
| --- | --- | --- |
| 11.2 | 29 | 0 1 1 |
| 13.5 | 47 | 0 0 2 |
| 28.0 | 34 | 1 2 1 |
| 34.2 | 100 | 1 2 3 |
| 41.3 | 36 | 2 0 0 |
| 44.3 | 43 | 1 2 5 |